Record 1
The following is a theoretical PXRD pattern of Ni. It was derived from a cell relaxed with GGA-PBE, using a wavelength of 1.5418 Å.
Kinematic intensities with the Lorentz-polarization factor, no thermal factor.

Atomic structure:
```
data_Ni
_chemical_formula_sum 'Ni2'
_cell_length_a 2.4743
_cell_length_b 2.4743
_cell_length_c 4.0702
_cell_angle_alpha 90.00
_cell_angle_beta 90.00
_cell_angle_gamma 120.00
_space_group_name_H-M_alt 'P 63/m m c'
_space_group_IT_number 194
_space_group_name_Hall '-P 6c 2c'
loop_
_atom_site_label
_atom_site_fract_x
_atom_site_fract_y
_atom_site_fract_z
Ni1 0.3333 0.6667 0.2500
```

Most intense lines, 2θ from 15° to 90°, by angle:
42.2°, 2.143 Å, rel. 25
44.5°, 2.035 Å, rel. 28
48.0°, 1.896 Å, rel. 100
63.0°, 1.476 Å, rel. 14
77.1°, 1.237 Å, rel. 15
84.5°, 1.146 Å, rel. 17

=====

Record 2
The following is a theoretical PXRD pattern of SmPtF7. It was derived from a cell relaxed with GGA-PBE, using a wavelength of 1.5418 Å.
Kinematic intensities with the Lorentz-polarization factor, no thermal factor.

Atomic structure:
```
data_SmPtF7
_chemical_formula_sum 'Sm4 Pt4 F28'
_cell_length_a 9.0758
_cell_length_b 5.6310
_cell_length_c 12.1892
_cell_angle_alpha 90.00
_cell_angle_beta 117.89
_cell_angle_gamma 90.00
_space_group_name_H-M_alt 'P 1 21/c 1'
_space_group_IT_number 14
loop_
_space_group_symop_operation_xyz
'x,y,z'
'-x,-y,-z'
'-x,y+1/2,-z+1/2'
'x,-y+1/2,z+1/2'
loop_
_atom_site_label
_atom_site_fract_x
_atom_site_fract_y
_atom_site_fract_z
Sm1 0.1877 0.2395 0.2643
Pt1 0.2730 0.7426 0.0427
F1 0.0282 0.7440 0.9503
F2 0.0319 0.5897 0.7317
F3 0.2563 0.5555 0.1730
F4 0.2729 0.0327 0.1326
F5 0.2807 0.0536 0.4590
F6 0.2947 0.5656 0.4160
F7 0.4822 0.2306 0.3600
```

Most intense lines, 2θ from 15° to 90°, by angle:
21.7°, 4.086 Å, rel. 100
22.2°, 4.011 Å, rel. 43
22.8°, 3.892 Å, rel. 15
26.0°, 3.433 Å, rel. 15
28.7°, 3.113 Å, rel. 33
31.8°, 2.815 Å, rel. 17
44.0°, 2.058 Å, rel. 17
44.3°, 2.044 Å, rel. 17
47.6°, 1.911 Å, rel. 25
53.6°, 1.711 Å, rel. 13

=====

Record 3
The following is a theoretical PXRD pattern of LuGaO3. It was derived from a cell relaxed with GGA-PBE, using a wavelength of 1.5418 Å.
Kinematic intensities with the Lorentz-polarization factor, no thermal factor.

Atomic structure:
```
data_LuGaO3
_chemical_formula_sum 'Lu1 Ga1 O3'
_cell_length_a 3.8058
_cell_length_b 3.8058
_cell_length_c 3.8058
_cell_angle_alpha 90.00
_cell_angle_beta 90.00
_cell_angle_gamma 90.00
_space_group_name_H-M_alt 'P m -3 m'
_space_group_IT_number 221
_space_group_name_Hall '-P 4 2 3'
loop_
_atom_site_label
_atom_site_fract_x
_atom_site_fract_y
_atom_site_fract_z
Lu1 0.0000 0.0000 0.0000
Ga1 0.5000 0.5000 0.5000
O1 0.0000 0.5000 0.5000
```

Most intense lines, 2θ from 15° to 90°, by angle:
23.4°, 3.806 Å, rel. 15
33.3°, 2.691 Å, rel. 100
41.1°, 2.197 Å, rel. 15
47.8°, 1.903 Å, rel. 29
53.9°, 1.702 Å, rel. 7
59.5°, 1.554 Å, rel. 39
69.9°, 1.346 Å, rel. 18
79.7°, 1.204 Å, rel. 17
84.4°, 1.148 Å, rel. 5
89.1°, 1.099 Å, rel. 6

=====

Record 4
The following is a theoretical PXRD pattern of Pr3Al11. It was derived from a cell relaxed with GGA-PBE, using a wavelength of 1.5418 Å.
Kinematic intensities with the Lorentz-polarization factor, no thermal factor.

Atomic structure:
```
data_Pr3Al11
_chemical_formula_sum 'Pr6 Al22'
_cell_length_a 4.3754
_cell_length_b 10.1158
_cell_length_c 13.0545
_cell_angle_alpha 90.00
_cell_angle_beta 90.00
_cell_angle_gamma 90.00
_space_group_name_H-M_alt 'I m m m'
_space_group_IT_number 71
_space_group_name_Hall '-I 2 2'
loop_
_atom_site_label
_atom_site_fract_x
_atom_site_fract_y
_atom_site_fract_z
Pr1 0.0000 0.0000 0.0000
Pr2 0.0000 0.0000 0.3174
Al1 0.0000 0.2163 0.5000
Al2 0.0000 0.2741 0.1373
Al3 0.0000 0.3694 0.3342
Al4 0.0000 0.5000 0.0000
```

Most intense lines, 2θ from 15° to 90°, by angle:
17.5°, 5.058 Å, rel. 32
22.1°, 4.015 Å, rel. 47
22.2°, 3.997 Å, rel. 44
28.9°, 3.085 Å, rel. 38
33.6°, 2.668 Å, rel. 74
34.0°, 2.634 Å, rel. 100
35.5°, 2.530 Å, rel. 22
41.3°, 2.188 Å, rel. 23
49.7°, 1.835 Å, rel. 23
54.4°, 1.687 Å, rel. 17